Structure and calculated powder X-ray diffraction pattern of Be7C (the GGA-PBE geometry in Alexandria; Cu Kα (weighted mean of Kα1 and Kα2)).
Neutral-atom scattering factors, no anomalous dispersion.

Top 6 peaks for 2θ from 10° to 80°, sorted by position:
2θ = 24.8°, I = 8; 2θ = 28.7°, I = 4; 2θ = 41.1°, I = 2; 2θ = 48.6°, I = 2; 2θ = 50.9°, I = 100; 2θ = 59.5°, I = 46

Cell and atoms:
```
Be7C
1.0
0.000 3.105 3.105
3.105 0.000 3.105
3.105 3.105 0.000
Be C
7 1
direct
0.000 0.000 0.000
0.000 0.000 0.500
0.000 0.500 0.000
0.000 0.500 0.500
0.500 0.000 0.000
0.500 0.000 0.500
0.500 0.500 0.000
0.500 0.500 0.500
```